No. 1
# Sm5Ga3
Simulated X-ray powder pattern, Cu Kα X-rays. Input: a DFT-relaxed cell (PBE, OQMD).
No peak broadening, texture or thermal motion is included.

Structure:
Cell: 7.7639 7.7639 14.5000 Å, 90.00 90.00 90.00°
Positions (direct):
Sm 0.0650 0.5926 0.1032
Sm 0.0650 0.9074 0.6032
Sm 0.0926 0.5650 0.3968
Sm 0.0926 0.9350 0.8968
Sm 0.2500 0.2500 0.2222
Sm 0.2500 0.2500 0.7222
Sm 0.4074 0.5650 0.8968
Sm 0.4074 0.9350 0.3968
Sm 0.4350 0.5926 0.6032
Sm 0.4350 0.9074 0.1032
Sm 0.5650 0.0926 0.8968
Sm 0.5650 0.4074 0.3968
Sm 0.5926 0.0650 0.6032
Sm 0.5926 0.4350 0.1032
Sm 0.7500 0.7500 0.2778
Sm 0.7500 0.7500 0.7778
Sm 0.9074 0.0650 0.1032
Sm 0.9074 0.4350 0.6032
Sm 0.9350 0.0926 0.3968
Sm 0.9350 0.4074 0.8968
Ga 0.1296 0.6296 0.7500
Ga 0.1296 0.8704 0.2500
Ga 0.2500 0.2500 0.0068
Ga 0.2500 0.2500 0.5068
Ga 0.3704 0.6296 0.2500
Ga 0.3704 0.8704 0.7500
Ga 0.6296 0.1296 0.2500
Ga 0.6296 0.3704 0.7500
Ga 0.7500 0.7500 0.4932
Ga 0.7500 0.7500 0.9932
Ga 0.8704 0.1296 0.7500
Ga 0.8704 0.3704 0.2500

Peak list (10 most intense, 2θ = 10–90°, by angle)
2θ/deg, I (rel.)
26.4, 16
29.5, 12
31.7, 100
32.6, 14
33.8, 37
36.6, 42
37.2, 14
51.4, 11
52.1, 16
56.3, 14



No. 2
# PrNd2Tl3Ni3
Simulated X-ray powder pattern, Cu Kα X-rays. Input: a DFT-relaxed cell (PBE, OQMD).
No peak broadening, texture or thermal motion is included.

Structure:
Cell: 3.9437 7.6882 7.6882 Å, 119.92 90.00 90.00°
Positions (direct):
Pr 0.0000 0.0000 0.0000
Nd 0.0000 0.1737 0.5867
Nd 0.0000 0.5867 0.1737
Tl 0.5000 0.3338 0.3338
Tl 0.5000 0.5856 0.8405
Tl 0.5000 0.8405 0.5856
Ni 0.0000 0.5864 0.5864
Ni 0.5000 0.2541 0.9198
Ni 0.5000 0.9198 0.2541

Peak list (10 most intense, 2θ = 10–90°, by angle)
2θ/deg, I (rel.)
23.1, 13
32.5, 100
35.3, 63
35.7, 66
40.6, 20
42.6, 23
46.0, 20
54.9, 17
59.6, 31
65.5, 28



No. 3
# KTlSnHgTe4
Simulated X-ray powder pattern, Cu Kα X-rays. Input: a DFT-relaxed cell (PBE, OQMD).
No peak broadening, texture or thermal motion is included.

Structure:
Cell: 7.1835 7.1835 7.1835 Å, 117.98 106.22 104.57°
Positions (direct):
K 0.0000 0.0000 0.0000
Tl 0.0000 0.5000 0.5000
Sn 0.5000 0.5000 0.0000
Hg 0.5000 0.0000 0.5000
Te 0.1425 0.5594 0.0587
Te 0.4993 0.4406 0.5831
Te 0.5007 0.0838 0.9413
Te 0.8575 0.9162 0.4169

Peak list (10 most intense, 2θ = 10–90°, by angle)
2θ/deg, I (rel.)
14.4, 25
15.8, 32
25.7, 82
26.0, 55
29.0, 95
31.6, 100
31.9, 99
38.0, 23
44.3, 26
58.2, 27



No. 4
# Er2TmMg4In2
Simulated X-ray powder pattern, Cu Kα X-rays. Input: a DFT-relaxed cell (PBE, OQMD).
No peak broadening, texture or thermal motion is included.

Structure:
Cell: 4.6281 7.5191 7.5191 Å, 119.90 90.00 90.00°
Positions (direct):
Er 0.0000 0.2190 0.7810
Er 0.0000 0.7810 0.2190
Tm 0.0000 0.3423 0.3423
Mg 0.0000 0.7797 0.7797
Mg 0.5000 0.0233 0.0233
Mg 0.5000 0.5377 0.7806
Mg 0.5000 0.7806 0.5377
In 0.5000 0.1146 0.4473
In 0.5000 0.4473 0.1146

Peak list (10 most intense, 2θ = 10–90°, by angle)
2θ/deg, I (rel.)
13.6, 54
27.4, 21
30.6, 88
33.6, 100
36.5, 28
38.9, 24
50.5, 22
54.4, 26
54.5, 17
65.6, 23